1.
MnH4SN2O4: calculated X-ray powder pattern (a wavelength of 1.5418 Å), based on a PBE+U-relaxed structure.
No peak broadening, texture or thermal motion is included.

Crystal structure
Cell: 6.699 7.998 9.190 Å, 90.00 90.00 90.00°
Space group Pccn (No. 56)
One atom of each set of equivalent atoms:
Mn  0.000  0.000  0.000 [4 per cell]
H  0.119  0.134  0.493 [8 per cell]
H  0.196  0.124  0.324 [8 per cell]
S  0.250  0.750  0.260 [4 per cell]
N  0.239  0.159  0.427 [8 per cell]
O  0.073  0.708  0.352 [8 per cell]
O  0.200  0.602  0.668 [8 per cell]

Largest 12 diffraction maxima, in order of falling intensity, 5 to 70 degrees two-theta:
- 2θ = 19.8°, d = 4.483 Å, I 100.0, hkl 1 1 1
- 2θ = 26.0°, d = 3.424 Å, I 53.0, hkl 1 1 2
- 2θ = 29.6°, d = 3.017 Å, I 33.7, hkl 0 2 2
- 2θ = 17.3°, d = 5.135 Å, I 29.8, hkl 1 1 0
- 2θ = 35.0°, d = 2.566 Å, I 29.7, hkl 2 2 0
- 2θ = 33.1°, d = 2.707 Å, I 23.2, hkl 2 0 2
- 2θ = 53.5°, d = 1.712 Å, I 15.9, hkl 2 2 4
- 2θ = 47.2°, d = 1.926 Å, I 14.6, hkl 1 3 3
- 2θ = 34.1°, d = 2.631 Å, I 9.9, hkl 1 1 3
- 2θ = 37.6°, d = 2.392 Å, I 9.8, hkl 1 3 1
- 2θ = 51.9°, d = 1.760 Å, I 9.5, hkl 3 1 3
- 2θ = 43.2°, d = 2.094 Å, I 9.0, hkl 3 1 1

2.
Mn2ZnH12N4O8: calculated X-ray powder pattern (a wavelength of 1.5418 Å), based on a PBE+U-relaxed structure.
No peak broadening, texture or thermal motion is included.

Crystal structure
Cell: 10.545 10.545 10.545 Å, 90.00 90.00 90.00°
Space group F-43m (No. 216)
One atom of each set of equivalent atoms:
Mn  0.000  0.000  0.000 [4 per cell]
Mn  0.250  0.250  0.250 [4 per cell]
Zn  0.000  0.000  0.500 [4 per cell]
H  0.096  0.096  0.707 [48 per cell]
N  0.113  0.113  0.613 [16 per cell]
O  0.089  0.089  0.911 [16 per cell]
O  0.161  0.161  0.339 [16 per cell]

Largest 12 diffraction maxima, in order of falling intensity, 5 to 70 degrees two-theta:
- 2θ = 23.9°, d = 3.728 Å, I 100.0, hkl 2 2 0
- 2θ = 28.1°, d = 3.179 Å, I 29.9, hkl 3 1 1
- 2θ = 42.0°, d = 2.153 Å, I 28.4, hkl 4 2 2
- 2θ = 48.9°, d = 1.864 Å, I 22.4, hkl 4 4 0
- 2θ = 14.5°, d = 6.088 Å, I 21.9, hkl 1 1 1
- 2θ = 66.3°, d = 1.409 Å, I 20.3, hkl 6 4 2
- 2θ = 16.8°, d = 5.273 Å, I 16.2, hkl 2 0 0
- 2θ = 44.7°, d = 2.029 Å, I 7.3, hkl 3 3 3
- 2θ = 55.1°, d = 1.667 Å, I 7.3, hkl 6 2 0
- 2θ = 38.2°, d = 2.358 Å, I 5.8, hkl 4 2 0
- 2θ = 29.3°, d = 3.044 Å, I 5.4, hkl 2 2 2
- 2θ = 37.2°, d = 2.419 Å, I 5.4, hkl 3 3 1

3.
NaMn3P3H2O12: calculated X-ray powder pattern (a wavelength of 1.5418 Å), based on a PBE+U-relaxed structure.
No peak broadening, texture or thermal motion is included.

Crystal structure
Cell: 12.296 12.539 6.748 Å, 90.00 114.62 90.00°
Space group C2/c (No. 15)
One atom of each set of equivalent atoms:
Na  0.000  0.023  0.250 [4 per cell]
Mn  0.000  0.283  0.750 [4 per cell]
Mn  0.212  0.161  0.628 [8 per cell]
P  0.000  0.321  0.250 [4 per cell]
P  0.213  0.110  0.111 [8 per cell]
H  0.124  0.494  0.812 [8 per cell]
O  0.036  0.250  0.458 [8 per cell]
O  0.106  0.395  0.265 [8 per cell]
O  0.150  0.002  0.097 [8 per cell]
O  0.150  0.412  0.847 [8 per cell]
O  0.153  0.170  0.892 [8 per cell]
O  0.213  0.177  0.301 [8 per cell]

Largest 12 diffraction maxima, in order of falling intensity, 5 to 70 degrees two-theta:
- 2θ = 27.7°, d = 3.222 Å, I 100.0, hkl 1 1 -2
- 2θ = 14.1°, d = 6.270 Å, I 82.9, hkl 0 2 0
- 2θ = 32.2°, d = 2.781 Å, I 82.8, hkl 3 3 0
- 2θ = 32.8°, d = 2.734 Å, I 80.3, hkl 2 4 0
- 2θ = 34.4°, d = 2.606 Å, I 43.3, hkl 1 3 -2
- 2θ = 33.2°, d = 2.700 Å, I 40.7, hkl 4 0 -2
- 2θ = 41.2°, d = 2.192 Å, I 40.3, hkl 3 1 -3
- 2θ = 28.8°, d = 3.101 Å, I 36.9, hkl 1 3 1
- 2θ = 32.0°, d = 2.793 Å, I 35.5, hkl 4 0 0
- 2θ = 24.9°, d = 3.572 Å, I 34.7, hkl 3 1 0
- 2θ = 15.9°, d = 5.589 Å, I 33.6, hkl 2 0 0
- 2θ = 35.2°, d = 2.552 Å, I 32.3, hkl 4 2 0

4.
Na2MnH4Se2O10: calculated X-ray powder pattern (a wavelength of 1.5418 Å), based on a PBE+U-relaxed structure.
No peak broadening, texture or thermal motion is included.

Crystal structure
Cell: 6.027 13.705 5.791 Å, 90.00 105.83 90.00°
Space group P2_1/c (No. 14)
One atom of each set of equivalent atoms:
Na  0.073  0.123  0.238 [4 per cell]
Mn  0.500  0.000  0.000 [2 per cell]
H  0.195  0.149  0.810 [4 per cell]
H  0.406  0.199  0.996 [4 per cell]
Se  0.276  0.618  0.933 [4 per cell]
O  0.051  0.693  0.909 [4 per cell]
O  0.233  0.553  0.677 [4 per cell]
O  0.266  0.541  0.158 [4 per cell]
O  0.313  0.138  0.966 [4 per cell]
O  0.473  0.177  0.504 [4 per cell]

Largest 12 diffraction maxima, in order of falling intensity, 5 to 70 degrees two-theta:
- 2θ = 28.2°, d = 3.160 Å, I 100.0, hkl 1 2 1
- 2θ = 25.2°, d = 3.532 Å, I 74.9, hkl 0 3 1
- 2θ = 22.9°, d = 3.882 Å, I 67.7, hkl 1 2 -1
- 2θ = 24.8°, d = 3.588 Å, I 56.9, hkl 1 3 0
- 2θ = 16.6°, d = 5.340 Å, I 56.0, hkl 1 1 0
- 2θ = 31.6°, d = 2.830 Å, I 41.6, hkl 1 0 -2
- 2θ = 31.3°, d = 2.854 Å, I 37.9, hkl 2 1 -1
- 2θ = 12.9°, d = 6.852 Å, I 34.1, hkl 0 2 0
- 2θ = 26.0°, d = 3.426 Å, I 33.6, hkl 0 4 0
- 2θ = 27.2°, d = 3.279 Å, I 33.5, hkl 1 3 -1
- 2θ = 47.3°, d = 1.923 Å, I 31.0, hkl 1 6 1
- 2θ = 33.4°, d = 2.685 Å, I 26.8, hkl 2 2 -1